LiCo2CuO6: theoretical powder diffraction line list (Cu Kα (weighted mean of Kα1 and Kα2)), based on a GGA+U-relaxed structure.

```
LiCo2CuO6
1.0
6.642 -1.410 0.000
6.642 1.410 0.000
-1.539 0.000 5.530
Li Co Cu O
1 2 1 6
direct
0.000 0.000 0.000
0.660 0.660 0.824
0.999 0.999 0.491
0.325 0.325 0.178
0.147 0.147 0.602
0.162 0.162 0.043
0.488 0.488 0.262
0.512 0.512 0.725
0.809 0.809 0.948
0.852 0.852 0.406
```

Main lines, sorted by position (2θ = 10–90°):
2θ/deg	I (rel.)
18.2	100
36.0	10
37.3	22
38.2	7
42.4	17
45.1	29
47.5	6
58.9	9
62.2	8
64.9	8